Starting from a structure optimized by DFT (GGA-PBE), the powder X-ray diffraction pattern of Nd8Si3IrBr4 was simulated for Cu Kα X-rays.
No peak broadening, texture or thermal motion is included.

Principal peaks in the range 10 to 90 degrees two-theta, low angle first:
12.6°, intensity 9
25.4°, intensity 14
29.0°, intensity 100
31.5°, intensity 8
40.8°, intensity 31
42.3°, intensity 39
52.1°, intensity 19
57.2°, intensity 8
60.2°, intensity 10
67.1°, intensity 9
69.3°, intensity 16
76.3°, intensity 10

Structural model:
```
data_Nd8Si3IrBr4
_chemical_formula_sum 'Nd8 Si3 Ir1 Br4'
_symmetry_space_group_name_H-M 'P 1'
_symmetry_Int_Tables_number 1
_symmetry_space_group_name_Hall 'P 1'
_cell_length_a 8.860
_cell_length_b 8.860
_cell_length_c 8.860
_cell_angle_alpha 57.70
_cell_angle_beta 57.70
_cell_angle_gamma 57.70
loop_
_atom_site_label
_atom_site_type_symbol
_atom_site_fract_x
_atom_site_fract_y
_atom_site_fract_z
_atom_site_occupancy
Nd1 Nd 0.238 0.238 0.238 1
Nd2 Nd 0.244 0.731 0.731 1
Nd3 Nd 0.269 0.269 0.756 1
Nd4 Nd 0.269 0.756 0.269 1
Nd5 Nd 0.731 0.244 0.731 1
Nd6 Nd 0.731 0.731 0.244 1
Nd7 Nd 0.756 0.269 0.269 1
Nd8 Nd 0.762 0.762 0.762 1
Si1 Si 0.000 0.000 0.500 1
Si2 Si 0.000 0.500 0.000 1
Si3 Si 0.500 0.000 0.000 1
Ir1 Ir 0.500 0.500 0.500 1
Br1 Br 0.000 0.000 0.000 1
Br2 Br 0.000 0.500 0.500 1
Br3 Br 0.500 0.000 0.500 1
Br4 Br 0.500 0.500 0.000 1
```